# 1
For Sr3Th, DFT lattice parameters and positions (PBE) gives the computed XRD peak list in this record (Cu Kα, 1.54184 Å).
No peak broadening, texture or thermal motion is included.

Structure:
a = 5.7488 Å, b = 5.7488 Å, c = 11.1344 Å
α = 90.00°, β = 90.00°, γ = 90.00°
Element x y z (fractional)
1 Sr 0.0000 0.0000 0.0000
2 Sr 0.0000 0.5000 0.2500
3 Sr 0.0000 0.5000 0.7500
4 Sr 0.5000 0.0000 0.2500
5 Sr 0.5000 0.0000 0.7500
6 Sr 0.5000 0.5000 0.5000
7 Th 0.0000 0.0000 0.5000
8 Th 0.5000 0.5000 0.0000

Principal peaks in the range 15° ≤ 2θ ≤ 90°, by angle:
- d = 5.108 Å, intensity 21
- d = 3.283 Å, intensity 100
- d = 2.874 Å, intensity 35
- d = 2.784 Å, intensity 16
- d = 2.033 Å, intensity 13
- d = 2.000 Å, intensity 25
- d = 1.728 Å, intensity 32
- d = 1.688 Å, intensity 15
- d = 1.641 Å, intensity 13
- d = 1.299 Å, intensity 12
- d = 1.167 Å, intensity 9
- d = 1.105 Å, intensity 8

=====

# 2
For SmIO9, DFT lattice parameters and positions (PBE) gives the computed XRD peak list in this record (Cu Kα, 1.54184 Å).
No peak broadening, texture or thermal motion is included.

Structure:
a = 7.0584 Å, b = 10.6934 Å, c = 11.0901 Å
α = 90.00°, β = 128.89°, γ = 90.00°
Element x y z (fractional)
1 Sm 0.2500 0.0988 0.0009
2 Sm 0.2500 0.4012 0.5009
3 Sm 0.7500 0.5988 0.4991
4 Sm 0.7500 0.9012 0.9991
5 I 0.4700 0.6672 0.7252
6 I 0.4700 0.8328 0.2252
7 I 0.5300 0.1672 0.7748
8 I 0.5300 0.3328 0.2748
9 O 0.0222 0.0019 0.7205
10 O 0.0222 0.4981 0.2205
11 O 0.0538 0.1107 0.2883
12 O 0.0538 0.3893 0.7883
13 O 0.0596 0.1826 0.3837
14 O 0.0596 0.3174 0.8837
15 O 0.1713 0.5756 0.6055
16 O 0.1713 0.9244 0.1055
17 O 0.2574 0.2272 0.1844
18 O 0.2574 0.2728 0.6844
19 O 0.3156 0.7038 0.0795
20 O 0.3156 0.7962 0.5795
21 O 0.3756 0.0452 0.6210
22 O 0.3756 0.4548 0.1210
23 O 0.4193 0.7460 0.8554
24 O 0.4193 0.7540 0.3554
25 O 0.4617 0.0717 0.8908
26 O 0.4617 0.4283 0.3908
27 O 0.5383 0.5717 0.6092
28 O 0.5383 0.9283 0.1092
29 O 0.5807 0.2460 0.6446
30 O 0.5807 0.2540 0.1446
31 O 0.6244 0.5452 0.8790
32 O 0.6244 0.9548 0.3790
33 O 0.6844 0.2038 0.4205
34 O 0.6844 0.2962 0.9205
35 O 0.7426 0.7272 0.3156
36 O 0.7426 0.7728 0.8156
37 O 0.8287 0.0756 0.8945
38 O 0.8287 0.4244 0.3945
39 O 0.9404 0.6826 0.1163
40 O 0.9404 0.8174 0.6163
41 O 0.9462 0.6107 0.2117
42 O 0.9462 0.8893 0.7117
43 O 0.9778 0.5019 0.7795
44 O 0.9778 0.9981 0.2795

Principal peaks in the range 15° ≤ 2θ ≤ 90°, by angle:
- d = 5.494 Å, intensity 41
- d = 5.434 Å, intensity 49
- d = 4.845 Å, intensity 29
- d = 4.545 Å, intensity 36
- d = 3.529 Å, intensity 97
- d = 3.043 Å, intensity 100
- d = 3.022 Å, intensity 86
- d = 2.986 Å, intensity 56
- d = 2.130 Å, intensity 27
- d = 1.935 Å, intensity 29
- d = 1.919 Å, intensity 44
- d = 1.765 Å, intensity 25

=====

# 3
For Ba2BrN, DFT lattice parameters and positions (PBE) gives the computed XRD peak list in this record (Cu Kα, 1.54184 Å).
No peak broadening, texture or thermal motion is included.

Structure:
a = 4.1958 Å, b = 4.1958 Å, c = 23.9484 Å
α = 90.00°, β = 90.00°, γ = 120.00°
Element x y z (fractional)
1 Ba 0.0000 0.0000 0.2285
2 Ba 0.0000 0.0000 0.7715
3 Ba 0.3333 0.6667 0.4382
4 Ba 0.3333 0.6667 0.8951
5 Ba 0.6667 0.3333 0.1049
6 Ba 0.6667 0.3333 0.5618
7 Br 0.0000 0.0000 0.0000
8 Br 0.3333 0.6667 0.6667
9 Br 0.6667 0.3333 0.3333
10 N 0.0000 0.0000 0.5000
11 N 0.3333 0.6667 0.1667
12 N 0.6667 0.3333 0.8333

Principal peaks in the range 15° ≤ 2θ ≤ 90°, by angle:
- d = 3.593 Å, intensity 15
- d = 3.477 Å, intensity 31
- d = 3.106 Å, intensity 100
- d = 2.895 Å, intensity 43
- d = 2.661 Å, intensity 21
- d = 2.491 Å, intensity 11
- d = 2.310 Å, intensity 20
- d = 2.098 Å, intensity 40
- d = 1.739 Å, intensity 18
- d = 1.647 Å, intensity 30
- d = 1.643 Å, intensity 16
- d = 1.339 Å, intensity 15

=====

# 4
For TbH3, DFT lattice parameters and positions (PBE) gives the computed XRD peak list in this record (Cu Kα, 1.54184 Å).
No peak broadening, texture or thermal motion is included.

Structure:
a = 5.2007 Å, b = 5.2007 Å, c = 5.2007 Å
α = 90.00°, β = 90.00°, γ = 90.00°
Element x y z (fractional)
1 Tb 0.0000 0.0000 0.0000
2 Tb 0.0000 0.5000 0.5000
3 Tb 0.5000 0.0000 0.5000
4 Tb 0.5000 0.5000 0.0000
5 H 0.0000 0.0000 0.5000
6 H 0.0000 0.5000 0.0000
7 H 0.2500 0.2500 0.2500
8 H 0.2500 0.2500 0.7500
9 H 0.2500 0.7500 0.2500
10 H 0.2500 0.7500 0.7500
11 H 0.5000 0.0000 0.0000
12 H 0.5000 0.5000 0.5000
13 H 0.7500 0.2500 0.2500
14 H 0.7500 0.2500 0.7500
15 H 0.7500 0.7500 0.2500
16 H 0.7500 0.7500 0.7500

Principal peaks in the range 15° ≤ 2θ ≤ 90°, by angle:
- d = 3.003 Å, intensity 100
- d = 2.600 Å, intensity 51
- d = 1.839 Å, intensity 39
- d = 1.568 Å, intensity 44
- d = 1.501 Å, intensity 13
- d = 1.300 Å, intensity 6
- d = 1.193 Å, intensity 18
- d = 1.163 Å, intensity 17

=====

# 5
For PrHo3, DFT lattice parameters and positions (PBE) gives the computed XRD peak list in this record (Cu Kα, 1.54184 Å).
No peak broadening, texture or thermal motion is included.

Structure:
a = 7.2688 Å, b = 7.2688 Å, c = 5.7226 Å
α = 90.00°, β = 90.00°, γ = 120.00°
Element x y z (fractional)
1 Pr 0.3333 0.6667 0.2500
2 Pr 0.6667 0.3333 0.7500
3 Ho 0.1648 0.3295 0.7500
4 Ho 0.1648 0.8352 0.7500
5 Ho 0.3295 0.1648 0.2500
6 Ho 0.6705 0.8352 0.7500
7 Ho 0.8352 0.1648 0.2500
8 Ho 0.8352 0.6705 0.2500

Principal peaks in the range 15° ≤ 2θ ≤ 90°, by angle:
- d = 3.147 Å, intensity 24
- d = 2.861 Å, intensity 25
- d = 2.758 Å, intensity 100
- d = 2.117 Å, intensity 16
- d = 1.817 Å, intensity 20
- d = 1.631 Å, intensity 21
- d = 1.534 Å, intensity 23
- d = 1.517 Å, intensity 16
- d = 1.214 Å, intensity 8
- d = 1.165 Å, intensity 14
- d = 1.124 Å, intensity 8
- d = 1.098 Å, intensity 4

=====

# 6
For Li3Mg3Ti6O16, DFT lattice parameters and positions (PBE) gives the computed XRD peak list in this record (Cu Kα, 1.54184 Å).
No peak broadening, texture or thermal motion is included.

Structure:
a = 8.4736 Å, b = 8.4763 Å, c = 8.4744 Å
α = 90.00°, β = 90.00°, γ = 90.00°
Element x y z (fractional)
1 Li 0.1254 0.0000 0.1242
2 Li 0.2519 0.6228 0.0018
3 Li 0.3749 0.7495 0.6253
4 Li 0.6251 0.2495 0.3747
5 Li 0.7481 0.1228 0.9982
6 Li 0.8746 0.5000 0.8758
7 Mg 0.0016 0.3773 0.2501
8 Mg 0.2481 0.1265 0.5018
9 Mg 0.4975 0.3734 0.7540
10 Mg 0.5025 0.8734 0.2460
11 Mg 0.7519 0.6265 0.4982
12 Mg 0.9984 0.8773 0.7499
13 Ti 0.1168 0.2508 0.8838
14 Ti 0.1274 0.5070 0.6361
15 Ti 0.1315 0.7551 0.3705
16 Ti 0.3718 0.9912 0.8780
17 Ti 0.3801 0.2474 0.1287
18 Ti 0.3805 0.4996 0.3763
19 Ti 0.6195 0.9996 0.6237
20 Ti 0.6199 0.7474 0.8713
21 Ti 0.6282 0.4912 0.1220
22 Ti 0.8685 0.2551 0.6295
23 Ti 0.8726 0.0070 0.3639
24 Ti 0.8832 0.7508 0.1162
25 O 0.1059 0.7480 0.1424
26 O 0.1107 0.9824 0.3782
27 O 0.1132 0.2624 0.6364
28 O 0.1212 0.7320 0.6107
29 O 0.1263 0.4828 0.8557
30 O 0.1370 0.5123 0.3874
31 O 0.1384 0.2517 0.1074
32 O 0.1426 0.0152 0.8716
33 O 0.3585 0.7372 0.3734
34 O 0.3601 0.4967 0.6079
35 O 0.3616 0.2376 0.8876
36 O 0.3723 0.2629 0.3583
37 O 0.3761 0.0165 0.1110
38 O 0.3890 0.4866 0.1394
39 O 0.3905 0.7678 0.8761
40 O 0.3920 0.0021 0.6381
41 O 0.6080 0.5021 0.3619
42 O 0.6095 0.2678 0.1239
43 O 0.6110 0.9866 0.8606
44 O 0.6239 0.5165 0.8890
45 O 0.6277 0.7629 0.6417
46 O 0.6384 0.7376 0.1124
47 O 0.6399 0.9967 0.3921
48 O 0.6415 0.2372 0.6266
49 O 0.8574 0.5152 0.1284
50 O 0.8616 0.7517 0.8926
51 O 0.8630 0.0123 0.6126
52 O 0.8737 0.9828 0.1443
53 O 0.8788 0.2320 0.3893
54 O 0.8868 0.7624 0.3636
55 O 0.8893 0.4824 0.6218
56 O 0.8941 0.2480 0.8576

Principal peaks in the range 15° ≤ 2θ ≤ 90°, by angle:
- d = 4.893 Å, intensity 69
- d = 3.790 Å, intensity 35
- d = 3.460 Å, intensity 21
- d = 2.996 Å, intensity 15
- d = 2.555 Å, intensity 100
- d = 2.119 Å, intensity 73
- d = 1.631 Å, intensity 42
- d = 1.498 Å, intensity 71
- d = 1.432 Å, intensity 8
- d = 1.292 Å, intensity 10
- d = 1.223 Å, intensity 9
- d = 1.103 Å, intensity 15

=====

# 7
For LiMg6Mn, DFT lattice parameters and positions (PBE) gives the computed XRD peak list in this record (Cu Kα, 1.54184 Å).
No peak broadening, texture or thermal motion is included.

Structure:
a = 5.0104 Å, b = 6.2197 Å, c = 10.8107 Å
α = 90.00°, β = 90.00°, γ = 90.00°
Element x y z (fractional)
1 Li 0.0000 0.0000 0.0000
2 Li 0.0000 0.5000 0.5000
3 Mg 0.0000 0.0000 0.4969
4 Mg 0.0000 0.2416 0.2433
5 Mg 0.0000 0.2584 0.7433
6 Mg 0.0000 0.5000 0.9969
7 Mg 0.0000 0.7416 0.7433
8 Mg 0.0000 0.7584 0.2433
9 Mg 0.5000 0.0000 0.6645
10 Mg 0.5000 0.2455 0.9147
11 Mg 0.5000 0.2545 0.4147
12 Mg 0.5000 0.5000 0.1645
13 Mg 0.5000 0.7455 0.4147
14 Mg 0.5000 0.7545 0.9147
15 Mn 0.5000 0.0000 0.1649
16 Mn 0.5000 0.5000 0.6649

Principal peaks in the range 15° ≤ 2θ ≤ 90°, by angle:
- d = 5.399 Å, intensity 15
- d = 5.010 Å, intensity 9
- d = 3.671 Å, intensity 14
- d = 2.698 Å, intensity 28
- d = 2.505 Å, intensity 26
- d = 2.375 Å, intensity 100
- d = 1.836 Å, intensity 17
- d = 1.559 Å, intensity 11
- d = 1.420 Å, intensity 18
- d = 1.324 Å, intensity 12
- d = 1.321 Å, intensity 6
- d = 1.302 Å, intensity 8

=====

# 8
For Ba2Sr3CaMg2Si4O16, DFT lattice parameters and positions (PBE) gives the computed XRD peak list in this record (Cu Kα, 1.54184 Å).
No peak broadening, texture or thermal motion is included.

Structure:
a = 5.5455 Å, b = 5.5455 Å, c = 14.0836 Å
α = 90.00°, β = 90.00°, γ = 120.00°
Element x y z (fractional)
1 Ba 0.0000 0.0000 0.0000
2 Ba 0.0000 0.0000 0.4981
3 Sr 0.3333 0.6667 0.6676
4 Sr 0.6667 0.3333 0.3291
5 Sr 0.6667 0.3333 0.8303
6 Ca 0.3333 0.6667 0.1647
7 Mg 0.0000 0.0000 0.2480
8 Mg 0.0000 0.0000 0.7494
9 Si 0.3333 0.6667 0.3823
10 Si 0.3333 0.6667 0.8865
11 Si 0.6667 0.3333 0.1134
12 Si 0.6667 0.3333 0.6138
13 O 0.1751 0.3502 0.3356
14 O 0.1753 0.3507 0.8390
15 O 0.1751 0.8249 0.3356
16 O 0.1753 0.8247 0.8390
17 O 0.3333 0.6667 0.0024
18 O 0.3333 0.6667 0.4972
19 O 0.3497 0.1749 0.1602
20 O 0.3497 0.1749 0.6606
21 O 0.6493 0.8247 0.8390
22 O 0.6498 0.8249 0.3356
23 O 0.6667 0.3333 0.4990
24 O 0.6667 0.3333 0.9989
25 O 0.8251 0.1749 0.1602
26 O 0.8251 0.1749 0.6606
27 O 0.8251 0.6503 0.1602
28 O 0.8251 0.6503 0.6606

Principal peaks in the range 15° ≤ 2θ ≤ 90°, by angle:
- d = 3.968 Å, intensity 55
- d = 2.840 Å, intensity 78
- d = 2.773 Å, intensity 100
- d = 2.347 Å, intensity 20
- d = 2.273 Å, intensity 34
- d = 1.984 Å, intensity 50
- d = 1.792 Å, intensity 22
- d = 1.758 Å, intensity 13
- d = 1.613 Å, intensity 28
- d = 1.601 Å, intensity 18
- d = 1.386 Å, intensity 18
- d = 1.246 Å, intensity 13

=====

# 9
For LaHSe2O7, DFT lattice parameters and positions (PBE) gives the computed XRD peak list in this record (Cu Kα, 1.54184 Å).
No peak broadening, texture or thermal motion is included.

Structure:
a = 8.8578 Å, b = 7.4890 Å, c = 9.7482 Å
α = 90.00°, β = 103.82°, γ = 90.00°
Element x y z (fractional)
1 La 0.2266 0.0000 0.2096
2 La 0.2301 0.3249 0.7724
3 La 0.7699 0.8249 0.2276
4 La 0.7734 0.5000 0.7904
5 H 0.2555 0.6669 0.5138
6 H 0.4448 0.9694 0.7193
7 H 0.5552 0.4694 0.2807
8 H 0.7445 0.1669 0.4862
9 Se 0.0179 0.9344 0.5207
10 Se 0.0622 0.4958 0.1008
11 Se 0.4429 0.7940 0.9073
12 Se 0.4897 0.6619 0.4544
13 Se 0.5103 0.1618 0.5456
14 Se 0.5571 0.2940 0.0927
15 Se 0.9378 0.9958 0.8992
16 Se 0.9821 0.4344 0.4793
17 O 0.0445 0.9500 0.3470
18 O 0.0707 0.4563 0.9315
19 O 0.0921 0.3107 0.1963
20 O 0.1073 0.1238 0.6027
21 O 0.1257 0.0609 0.9252
22 O 0.1758 0.4899 0.5353
23 O 0.1834 0.6582 0.1726
24 O 0.3171 0.6486 0.8218
25 O 0.3271 0.7714 0.4993
26 O 0.3716 0.2468 0.0800
27 O 0.3731 0.1853 0.3927
28 O 0.4081 0.9954 0.8051
29 O 0.4280 0.8589 0.0649
30 O 0.4741 0.3254 0.6563
31 O 0.5259 0.8254 0.3437
32 O 0.5720 0.3589 0.9351
33 O 0.5919 0.4954 0.1949
34 O 0.6269 0.6853 0.6073
35 O 0.6284 0.7468 0.9200
36 O 0.6729 0.2714 0.5007
37 O 0.6829 0.1486 0.1782
38 O 0.8166 0.1582 0.8274
39 O 0.8242 0.9899 0.4647
40 O 0.8743 0.5609 0.0748
41 O 0.8927 0.6238 0.3973
42 O 0.9079 0.8107 0.8037
43 O 0.9293 0.9563 0.0685
44 O 0.9555 0.4500 0.6530

Principal peaks in the range 15° ≤ 2θ ≤ 90°, by angle:
- d = 5.873 Å, intensity 44
- d = 3.741 Å, intensity 41
- d = 3.646 Å, intensity 100
- d = 3.433 Å, intensity 55
- d = 3.376 Å, intensity 38
- d = 3.331 Å, intensity 62
- d = 3.248 Å, intensity 64
- d = 3.155 Å, intensity 28
- d = 2.911 Å, intensity 66
- d = 2.123 Å, intensity 39
- d = 2.083 Å, intensity 22
- d = 1.851 Å, intensity 23

=====

# 10
For Sr2Ti2GaO7, DFT lattice parameters and positions (PBE) gives the computed XRD peak list in this record (Cu Kα, 1.54184 Å).
No peak broadening, texture or thermal motion is included.

Structure:
a = 11.6085 Å, b = 11.6085 Å, c = 5.5891 Å
α = 103.68°, β = 103.68°, γ = 140.17°
Element x y z (fractional)
1 Sr 0.1028 0.8972 0.0000
2 Sr 0.4267 0.6327 0.0294
3 Sr 0.6327 0.4267 0.0294
4 Sr 0.8972 0.1028 0.0000
5 Ti 0.1846 0.8341 0.4953
6 Ti 0.3324 0.6817 0.4929
7 Ti 0.6817 0.3324 0.4929
8 Ti 0.8341 0.1846 0.4953
9 Ga 0.0954 0.0954 0.5623
10 Ga 0.4388 0.4388 0.4039
11 O 0.0517 0.8960 0.5038
12 O 0.0934 0.4332 0.5292
13 O 0.1040 0.4433 0.0414
14 O 0.1454 0.1454 0.2753
15 O 0.3860 0.3860 0.0156
16 O 0.4332 0.0934 0.5292
17 O 0.4433 0.1040 0.0414
18 O 0.4826 0.6378 0.5881
19 O 0.5833 0.9391 0.5279
20 O 0.6020 0.9578 0.0483
21 O 0.6378 0.4826 0.5881
22 O 0.8960 0.0517 0.5038
23 O 0.9391 0.5833 0.5279
24 O 0.9578 0.6020 0.0483

Principal peaks in the range 15° ≤ 2θ ≤ 90°, by angle:
- d = 5.457 Å, intensity 77
- d = 3.237 Å, intensity 71
- d = 3.202 Å, intensity 69
- d = 2.845 Å, intensity 68
- d = 2.794 Å, intensity 82
- d = 2.698 Å, intensity 100
- d = 2.677 Å, intensity 97
- d = 2.183 Å, intensity 35
- d = 2.011 Å, intensity 50
- d = 1.977 Å, intensity 51
- d = 1.720 Å, intensity 26
- d = 1.598 Å, intensity 22